Structure and simulated powder diffraction line list of LiV3OF11 (DFT lattice parameters and positions (PBE+U); Cu Kα, 1.54184 Å).
Intensities are scaled so that the largest is 100.

Cell and atoms:
a = 6.299 Å, b = 7.733 Å, c = 10.654 Å
α = 71.54°, β = 76.35°, γ = 69.90°
Space group P1 (No. 1)
Unique sites:
Li1 0.000 0.000 0.000
Li2 0.000 0.500 0.500
V1 0.386 0.008 0.693
V2 0.387 0.508 0.193
V3 0.643 0.466 0.822
V4 0.643 0.966 0.322
V5 0.871 0.790 0.752
V6 0.872 0.290 0.252
O1 0.587 0.258 0.262
O2 0.587 0.758 0.762
F1 0.160 0.405 0.190
F2 0.160 0.905 0.690
F3 0.257 0.255 0.620
F4 0.259 0.755 0.120
F5 0.265 0.034 0.864
F6 0.265 0.534 0.364
F7 0.366 0.002 0.292
F8 0.366 0.502 0.792
F9 0.517 0.986 0.508
F10 0.518 0.486 0.008
F11 0.688 0.053 0.691
F12 0.689 0.553 0.191
F13 0.772 0.216 0.893
F14 0.773 0.716 0.393
F15 0.775 0.444 0.652
F16 0.775 0.944 0.152
F17 0.888 0.320 0.409
F18 0.888 0.821 0.909
F19 0.924 0.014 0.343
F20 0.924 0.515 0.843
F21 0.996 0.225 0.098
F22 0.996 0.725 0.598

Principal peaks in the range 2θ from 10° to 90°, by angle:
d_spacing, I_rel
6.600, 69
5.501, 45
5.001, 100
3.623, 52
3.492, 41
3.367, 46
3.139, 33
2.042, 28

***

Structure and simulated powder diffraction line list of Li9Mn2Co5O16 (DFT lattice parameters and positions (PBE+U); Cu Kα, 1.54184 Å).
Intensities are scaled so that the largest is 100.

Cell and atoms:
a = 5.225 Å, b = 2.873 Å, c = 38.820 Å
α = 90.00°, β = 90.06°, γ = 90.00°
Space group C2/m (No. 12)
Unique sites:
Li1 0.000 0.000 0.000
Li2 0.060 0.000 0.814
Li3 0.060 0.500 0.313
Li4 0.181 0.500 0.940
Li5 0.187 0.000 0.438
Mn1 0.250 0.000 0.250
Co1 0.000 0.500 0.500
Co2 0.125 0.000 0.625
Co3 0.127 0.500 0.125
O1 0.021 0.000 0.901
O2 0.033 0.500 0.404
O3 0.116 0.500 0.220
O4 0.117 0.000 0.721
O5 0.139 0.000 0.528
O6 0.154 0.500 0.032
O7 0.217 0.000 0.347
O8 0.231 0.500 0.847

Principal peaks in the range 2θ from 10° to 90°, by angle:
d_spacing, I_rel
4.853, 100
2.589, 20
2.471, 26
2.168, 34
2.049, 54
1.925, 11
1.490, 16
1.488, 16

***

Structure and simulated powder diffraction line list of Ca2YAsW2O12 (DFT lattice parameters and positions (PBE+U); Cu Kα, 1.54184 Å).
Intensities are scaled so that the largest is 100.

Cell and atoms:
a = 5.209 Å, b = 5.209 Å, c = 34.578 Å
α = 90.00°, β = 90.00°, γ = 90.00°
Space group I4_1/a (No. 88, origin choice 2)
Unique sites:
Ca1 0.000 0.250 0.289
Y1 0.000 0.250 0.625
As1 0.000 0.250 0.125
W1 0.000 0.250 0.450
O1 0.133 0.491 0.768
O2 0.167 0.036 0.571
O3 0.193 0.046 0.152

Principal peaks in the range 2θ from 10° to 90°, by angle:
d_spacing, I_rel
4.747, 32
4.161, 17
3.104, 100
2.881, 12
2.604, 20
1.932, 25
1.842, 14
1.584, 27

***

Structure and simulated powder diffraction line list of V2CoO4 (DFT lattice parameters and positions (PBE+U); Cu Kα, 1.54184 Å).
Intensities are scaled so that the largest is 100.

Cell and atoms:
a = 10.473 Å, b = 6.046 Å, c = 6.018 Å
α = 90.00°, β = 124.80°, γ = 90.00°
Space group C2/m (No. 12)
Unique sites:
V1 0.000 0.000 0.000
V2 0.000 0.000 0.500
V3 0.250 0.250 0.000
Co1 0.124 0.500 0.376
O1 0.009 0.230 0.761
O2 0.238 0.000 0.759
O3 0.242 0.000 0.222

Principal peaks in the range 2θ from 10° to 90°, by angle:
d_spacing, I_rel
3.023, 57
2.591, 78
2.580, 80
2.575, 100
2.568, 52
1.643, 48
1.517, 48
1.512, 71

***

Structure and simulated powder diffraction line list of CoN4F12 (DFT lattice parameters and positions (PBE+U); Cu Kα, 1.54184 Å).
Intensities are scaled so that the largest is 100.

Cell and atoms:
a = 23.752 Å, b = 23.752 Å, c = 23.752 Å
α = 90.00°, β = 90.00°, γ = 90.00°
Space group Fd-3m (No. 227, origin choice 2)
Unique sites:
Co1 0.125 0.125 0.125
N1 0.001 0.001 0.249
F1 0.006 0.006 0.810

Principal peaks in the range 2θ from 10° to 90°, by angle:
d_spacing, I_rel
8.397, 12
7.161, 12
6.856, 100
5.938, 27
4.571, 14
4.199, 37
3.581, 17
3.326, 19

***

Structure and simulated powder diffraction line list of NaFe3O4 (DFT lattice parameters and positions (PBE+U); Cu Kα, 1.54184 Å).
Intensities are scaled so that the largest is 100.

Cell and atoms:
a = 3.1217 Å, b = 3.1217 Å, c = 30.8948 Å
α = 90.00°, β = 90.00°, γ = 120.00°
Space group R3m (No. 160, hexagonal axes)
Unique sites:
Na1 0.0000 0.0000 0.0000
Fe1 0.0000 0.0000 0.2538
Fe2 0.0000 0.0000 0.5027
Fe3 0.0000 0.0000 0.7540
O1 0.0000 0.0000 0.1283
O2 0.0000 0.0000 0.3889
O3 0.0000 0.0000 0.6182
O4 0.0000 0.0000 0.8698

Principal peaks in the range 2θ from 10° to 90°, by angle:
d_spacing, I_rel
5.149, 9
2.575, 17
2.552, 42
2.215, 100
1.571, 26
1.561, 30
1.335, 13
1.276, 13

***

Structure and simulated powder diffraction line list of MgCo4Ag4O8 (DFT lattice parameters and positions (PBE+U); Cu Kα, 1.54184 Å).
Intensities are scaled so that the largest is 100.

Cell and atoms:
a = 5.279 Å, b = 3.085 Å, c = 26.718 Å
α = 90.00°, β = 90.19°, γ = 90.00°
Space group Cm (No. 8)
Unique sites:
Mg1 0.000 0.000 0.000
Co1 0.001 0.000 0.448
Co2 0.002 0.000 0.214
Co3 0.335 0.000 0.680
Co4 0.340 0.000 0.906
Ag1 0.003 0.000 0.796
Ag2 0.167 0.500 0.093
Ag3 0.173 0.500 0.564
Ag4 0.325 0.000 0.331
O1 0.003 0.000 0.717
O2 0.005 0.000 0.875
O3 0.164 0.500 0.967
O4 0.168 0.500 0.643
O5 0.174 0.500 0.486
O6 0.176 0.500 0.177
O7 0.328 0.000 0.410
O8 0.331 0.000 0.252

Principal peaks in the range 2θ from 10° to 90°, by angle:
d_spacing, I_rel
3.340, 39
2.969, 63
2.612, 100
2.589, 44
2.551, 52
2.473, 39
2.384, 53
1.529, 40

***

Structure and simulated powder diffraction line list of Sr2MgTiMoO6 (DFT lattice parameters and positions (PBE+U); Cu Kα, 1.54184 Å).
Intensities are scaled so that the largest is 100.

Cell and atoms:
a = 5.596 Å, b = 5.749 Å, c = 5.888 Å
α = 62.45°, β = 62.56°, γ = 80.65°
Space group P1 (No. 1)
Unique sites:
Sr1 0.000 0.000 0.000
Sr2 0.255 0.636 0.562
Mg1 0.413 0.253 0.212
Ti1 0.831 0.386 0.354
Mo1 0.624 0.830 0.781
O1 0.012 0.065 0.510
O2 0.239 0.580 0.050
O3 0.453 0.193 0.564
O4 0.519 0.977 0.082
O5 0.749 0.637 0.496
O6 0.795 0.459 0.013

Principal peaks in the range 2θ from 10° to 90°, by angle:
d_spacing, I_rel
5.087, 24
2.931, 77
2.874, 100
2.748, 52
2.684, 32
2.324, 44
2.173, 48
1.838, 27

***

Structure and simulated powder diffraction line list of Li2CoCuO4 (DFT lattice parameters and positions (PBE+U); Cu Kα, 1.54184 Å).
Intensities are scaled so that the largest is 100.

Cell and atoms:
a = 5.057 Å, b = 5.062 Å, c = 5.913 Å
α = 90.08°, β = 90.59°, γ = 108.50°
Space group P1 (No. 1)
Unique sites:
Li1 0.000 0.000 0.000
Li2 0.001 0.501 0.754
Li3 0.495 0.995 0.254
Li4 0.498 0.496 0.510
Co1 0.498 0.995 0.754
Co2 0.997 0.498 0.254
Cu1 0.502 0.492 0.001
Cu2 0.992 0.006 0.509
O1 0.200 0.246 0.283
O2 0.233 0.782 0.510
O3 0.275 0.727 0.004
O4 0.279 0.262 0.781
O5 0.722 0.252 0.997
O6 0.746 0.701 0.227
O7 0.758 0.229 0.505
O8 0.759 0.784 0.728

Principal peaks in the range 2θ from 10° to 90°, by angle:
d_spacing, I_rel
3.740, 100
3.711, 100
2.403, 23
2.101, 48
2.080, 46
2.053, 43
1.478, 26
1.465, 24

***

Structure and simulated powder diffraction line list of NiAgF3 (DFT lattice parameters and positions (PBE+U); Cu Kα, 1.54184 Å).
Intensities are scaled so that the largest is 100.

Cell and atoms:
a = 3.049 Å, b = 10.929 Å, c = 7.634 Å
α = 90.00°, β = 90.00°, γ = 90.00°
Space group Cmcm (No. 63)
Unique sites:
Ni1 0.000 0.000 0.000
Ag1 0.000 0.255 0.250
F1 0.000 0.061 0.750
F2 0.000 0.380 0.548

Principal peaks in the range 2θ from 10° to 90°, by angle:
d_spacing, I_rel
3.129, 100
2.741, 48
2.732, 24
2.338, 19
2.236, 54
1.923, 28
1.908, 19
1.644, 17

***

Structure and simulated powder diffraction line list of CaMo4O8 (DFT lattice parameters and positions (PBE+U); Cu Kα, 1.54184 Å).
Intensities are scaled so that the largest is 100.

Cell and atoms:
a = 3.294 Å, b = 7.206 Å, c = 7.309 Å
α = 87.36°, β = 78.04°, γ = 78.88°
Space group P-1 (No. 2)
Unique sites:
Ca1 0.000 0.000 0.000
Mo1 0.131 0.177 0.531
Mo2 0.349 0.527 0.823
O1 0.040 0.613 0.278
O2 0.294 0.314 0.046
O3 0.359 0.712 0.608
O4 0.367 0.959 0.314

Principal peaks in the range 2θ from 10° to 90°, by angle:
d_spacing, I_rel
5.044, 29
5.012, 32
3.180, 100
2.703, 46
2.687, 20
2.614, 24
1.973, 20
1.934, 32

***

What did the eighth record say?
Structure and simulated powder diffraction line list of Sr2MgTiMoO6 (DFT lattice parameters and positions (PBE+U); Cu Kα, 1.54184 Å).
Intensities are scaled so that the largest is 100.

Cell and atoms:
a = 5.596 Å, b = 5.749 Å, c = 5.888 Å
α = 62.45°, β = 62.56°, γ = 80.65°
Space group P1 (No. 1)
Unique sites:
Sr1 0.000 0.000 0.000
Sr2 0.255 0.636 0.562
Mg1 0.413 0.253 0.212
Ti1 0.831 0.386 0.354
Mo1 0.624 0.830 0.781
O1 0.012 0.065 0.510
O2 0.239 0.580 0.050
O3 0.453 0.193 0.564
O4 0.519 0.977 0.082
O5 0.749 0.637 0.496
O6 0.795 0.459 0.013

Principal peaks in the range 2θ from 10° to 90°, by angle:
d_spacing, I_rel
5.087, 24
2.931, 77
2.874, 100
2.748, 52
2.684, 32
2.324, 44
2.173, 48
1.838, 27